(1)
# Pm4Y4Th3
Theoretical powder diffractogram, a wavelength of 1.5418 Å. Input: a structure optimized by DFT (GGA-PBE).
Intensities are scaled so that the largest is 100.

Structure:
Cell: 17.8664 17.8664 3.5844 Å, 90.00 90.00 161.32°
Fractional positions:
Pm (0.0970, 0.9030, 0.0000)
Pm (0.2807, 0.7193, 0.0000)
Pm (0.7193, 0.2807, 0.0000)
Pm (0.9030, 0.0970, 0.0000)
Y (0.1888, 0.8112, 0.5000)
Y (0.4542, 0.5458, 0.0000)
Y (0.5458, 0.4542, 0.0000)
Y (0.8112, 0.1888, 0.5000)
Th (0.0000, 0.0000, 0.5000)
Th (0.3682, 0.6318, 0.5000)
Th (0.6318, 0.3682, 0.5000)

Largest 8 diffraction maxima, by angle, 2θ = 10–90°:
| Position (°2θ) | d (Å) | I_rel |
| --- | --- | --- |
| 17.0 | 5.201 | 12 |
| 29.2 | 3.060 | 18 |
| 30.8 | 2.900 | 28 |
| 31.9 | 2.802 | 100 |
| 43.0 | 2.105 | 13 |
| 55.5 | 1.655 | 21 |
| 58.6 | 1.576 | 13 |
| 61.4 | 1.510 | 14 |

(2)
# PmY2Th4
Theoretical powder diffractogram, a wavelength of 1.5418 Å. Input: a structure optimized by DFT (GGA-PBE).
Intensities are scaled so that the largest is 100.

Structure:
Cell: 9.3105 9.3105 5.6635 Å, 90.00 90.00 90.00°
Fractional positions:
Pm (0.0000, 0.0000, 0.0000)
Pm (0.5000, 0.5000, 0.5000)
Y (0.1809, 0.1809, 0.5000)
Y (0.3191, 0.6809, 0.0000)
Y (0.6809, 0.3191, 0.0000)
Y (0.8191, 0.8191, 0.5000)
Th (0.1128, 0.3746, 0.0000)
Th (0.1254, 0.6128, 0.5000)
Th (0.3746, 0.1128, 0.0000)
Th (0.3872, 0.8746, 0.5000)
Th (0.6128, 0.1254, 0.5000)
Th (0.6254, 0.8872, 0.0000)
Th (0.8746, 0.3872, 0.5000)
Th (0.8872, 0.6254, 0.0000)

Largest 8 diffraction maxima, by angle, 2θ = 10–90°:
| Position (°2θ) | d (Å) | I_rel |
| --- | --- | --- |
| 13.4 | 6.584 | 32 |
| 30.4 | 2.944 | 26 |
| 31.4 | 2.846 | 100 |
| 31.6 | 2.832 | 38 |
| 34.3 | 2.612 | 43 |
| 56.2 | 1.638 | 20 |
| 60.3 | 1.535 | 24 |
| 65.6 | 1.424 | 29 |

(3)
# Pm3Y6Th2
Theoretical powder diffractogram, a wavelength of 1.5418 Å. Input: a structure optimized by DFT (GGA-PBE).
Intensities are scaled so that the largest is 100.

Structure:
Cell: 6.2112 6.2112 11.6323 Å, 95.42 95.42 120.40°
Fractional positions:
Pm (0.0000, 0.0000, 0.0000)
Pm (0.3351, 0.6649, 0.0000)
Pm (0.6649, 0.3351, 0.0000)
Y (0.0899, 0.4219, 0.2581)
Y (0.2443, 0.2443, 0.7455)
Y (0.4219, 0.0899, 0.2581)
Y (0.5781, 0.9101, 0.7419)
Y (0.7557, 0.7557, 0.2545)
Y (0.9101, 0.5781, 0.7419)
Th (0.1625, 0.8375, 0.5000)
Th (0.8375, 0.1625, 0.5000)

Largest 8 diffraction maxima, by angle, 2θ = 10–90°:
| Position (°2θ) | d (Å) | I_rel |
| --- | --- | --- |
| 30.7 | 2.914 | 100 |
| 31.3 | 2.855 | 31 |
| 35.6 | 2.522 | 45 |
| 36.1 | 2.488 | 22 |
| 51.2 | 1.786 | 16 |
| 52.0 | 1.757 | 15 |
| 60.9 | 1.522 | 10 |
| 61.6 | 1.505 | 18 |

(4)
# Pm3Y7Th
Theoretical powder diffractogram, a wavelength of 1.5418 Å. Input: a structure optimized by DFT (GGA-PBE).
Intensities are scaled so that the largest is 100.

Structure:
Cell: 7.1111 7.1111 8.7534 Å, 90.00 90.00 120.00°
Fractional positions:
Pm (0.0044, 0.5022, 0.0000)
Pm (0.4978, 0.5022, 0.0000)
Pm (0.4978, 0.9956, 0.0000)
Y (0.1689, 0.3377, 0.6593)
Y (0.1689, 0.8311, 0.6593)
Y (0.3342, 0.1671, 0.3329)
Y (0.6623, 0.8311, 0.6593)
Y (0.6667, 0.3333, 0.6623)
Y (0.8329, 0.1671, 0.3329)
Y (0.8329, 0.6658, 0.3329)
Th (0.3333, 0.6667, 0.3331)

Largest 8 diffraction maxima, by angle, 2θ = 10–90°:
| Position (°2θ) | d (Å) | I_rel |
| --- | --- | --- |
| 14.4 | 6.158 | 22 |
| 30.6 | 2.918 | 33 |
| 30.8 | 2.905 | 100 |
| 35.7 | 2.518 | 67 |
| 51.2 | 1.784 | 24 |
| 51.4 | 1.778 | 23 |
| 60.9 | 1.522 | 14 |
| 61.1 | 1.518 | 41 |

(5)
# Pm3Y8Th2
Theoretical powder diffractogram, a wavelength of 1.5418 Å. Input: a structure optimized by DFT (GGA-PBE).
Intensities are scaled so that the largest is 100.

Structure:
Cell: 6.1832 7.7696 18.7765 Å, 85.92 80.84 77.36°
Fractional positions:
Pm (0.0000, 0.0000, 0.0000)
Pm (0.0000, 0.0000, 0.5000)
Pm (0.3348, 0.6864, 0.2260)
Pm (0.4268, 0.2421, 0.2931)
Pm (0.5732, 0.7579, 0.7069)
Pm (0.6652, 0.3136, 0.7740)
Y (0.0016, 0.0178, 0.3217)
Y (0.1110, 0.5304, 0.7387)
Y (0.1107, 0.5555, 0.0760)
Y (0.2308, 0.0955, 0.8154)
Y (0.3337, 0.6600, 0.8871)
Y (0.3615, 0.6461, 0.5618)
Y (0.4453, 0.1842, 0.6126)
Y (0.4476, 0.2184, 0.9630)
Y (0.5524, 0.7816, 0.0370)
Y (0.5547, 0.8158, 0.3874)
Y (0.6385, 0.3539, 0.4382)
Y (0.6663, 0.3400, 0.1129)
Y (0.7692, 0.9045, 0.1846)
Y (0.8893, 0.4445, 0.9240)
Y (0.8890, 0.4696, 0.2613)
Y (0.9984, 0.9822, 0.6783)
Th (0.0961, 0.5677, 0.4153)
Th (0.2205, 0.1215, 0.1460)
Th (0.7795, 0.8785, 0.8540)
Th (0.9039, 0.4323, 0.5847)

Largest 8 diffraction maxima, by angle, 2θ = 10–90°:
| Position (°2θ) | d (Å) | I_rel |
| --- | --- | --- |
| 14.9 | 5.951 | 14 |
| 30.5 | 2.930 | 100 |
| 30.9 | 2.894 | 95 |
| 34.4 | 2.609 | 39 |
| 35.3 | 2.543 | 32 |
| 37.1 | 2.423 | 25 |
| 52.0 | 1.758 | 19 |
| 60.4 | 1.533 | 14 |

(6)
# Pm8YTh3
Theoretical powder diffractogram, a wavelength of 1.5418 Å. Input: a structure optimized by DFT (GGA-PBE).
Intensities are scaled so that the largest is 100.

Structure:
Cell: 6.2745 6.2945 10.8499 Å, 73.36 84.49 80.32°
Fractional positions:
Pm (0.0046, 0.3351, 0.1661)
Pm (0.2482, 0.4192, 0.5829)
Pm (0.2554, 0.0825, 0.9182)
Pm (0.4914, 0.1726, 0.3288)
Pm (0.5086, 0.8274, 0.6712)
Pm (0.7446, 0.9175, 0.0818)
Pm (0.7518, 0.5808, 0.4171)
Pm (0.9954, 0.6649, 0.8339)
Y (0.0000, 0.0000, 0.5000)
Th (0.2544, 0.7454, 0.2483)
Th (0.5000, 0.5000, 0.0000)
Th (0.7456, 0.2546, 0.7517)

Largest 8 diffraction maxima, by angle, 2θ = 10–90°:
| Position (°2θ) | d (Å) | I_rel |
| --- | --- | --- |
| 30.2 | 2.960 | 100 |
| 34.9 | 2.571 | 17 |
| 35.1 | 2.559 | 34 |
| 50.3 | 1.815 | 12 |
| 50.4 | 1.812 | 18 |
| 59.7 | 1.550 | 7 |
| 59.9 | 1.544 | 25 |
| 82.0 | 1.175 | 7 |

(7)
# Pm5Y4Th
Theoretical powder diffractogram, a wavelength of 1.5418 Å. Input: a structure optimized by DFT (GGA-PBE).
Intensities are scaled so that the largest is 100.

Structure:
Cell: 8.7598 8.7598 11.5943 Å, 108.24 108.24 23.41°
Fractional positions:
Pm (0.0000, 0.0000, 0.0000)
Pm (0.2968, 0.2968, 0.3888)
Pm (0.3097, 0.3097, 0.9179)
Pm (0.6903, 0.6903, 0.0821)
Pm (0.7032, 0.7032, 0.6112)
Y (0.1051, 0.1051, 0.7981)
Y (0.4169, 0.4169, 0.7028)
Y (0.5831, 0.5831, 0.2972)
Y (0.8949, 0.8949, 0.2019)
Th (0.0000, 0.0000, 0.5000)

Largest 8 diffraction maxima, by angle, 2θ = 10–90°:
| Position (°2θ) | d (Å) | I_rel |
| --- | --- | --- |
| 30.1 | 2.972 | 79 |
| 30.9 | 2.898 | 100 |
| 31.3 | 2.859 | 93 |
| 31.4 | 2.848 | 80 |
| 31.6 | 2.830 | 92 |
| 31.8 | 2.812 | 91 |
| 43.4 | 2.086 | 31 |
| 46.7 | 1.944 | 32 |

(8)
# Pm12Y5Th2
Theoretical powder diffractogram, a wavelength of 1.5418 Å. Input: a structure optimized by DFT (GGA-PBE).
Intensities are scaled so that the largest is 100.

Structure:
Cell: 11.7430 11.7430 8.7644 Å, 109.08 109.08 35.21°
Fractional positions:
Pm (0.0463, 0.0463, 0.1994)
Pm (0.0468, 0.5530, 0.7065)
Pm (0.1375, 0.6492, 0.1125)
Pm (0.3508, 0.8625, 0.8875)
Pm (0.3597, 0.3597, 0.4417)
Pm (0.4470, 0.9532, 0.2935)
Pm (0.5530, 0.0468, 0.7065)
Pm (0.6403, 0.6403, 0.5583)
Pm (0.6492, 0.1375, 0.1125)
Pm (0.8625, 0.3508, 0.8875)
Pm (0.9532, 0.4470, 0.2935)
Pm (0.9537, 0.9537, 0.8006)
Y (0.1495, 0.1495, 0.5971)
Y (0.2511, 0.2511, 0.0083)
Y (0.5000, 0.5000, 0.0000)
Y (0.7489, 0.7489, 0.9917)
Y (0.8505, 0.8505, 0.4029)
Th (0.2496, 0.7504, 0.5000)
Th (0.7504, 0.2496, 0.5000)

Largest 8 diffraction maxima, by angle, 2θ = 10–90°:
| Position (°2θ) | d (Å) | I_rel |
| --- | --- | --- |
| 30.2 | 2.957 | 100 |
| 30.7 | 2.910 | 40 |
| 31.0 | 2.888 | 39 |
| 33.6 | 2.669 | 36 |
| 36.3 | 2.476 | 51 |
| 50.1 | 1.821 | 19 |
| 50.4 | 1.810 | 19 |
| 58.0 | 1.591 | 14 |